Record 1
Starting from DFT lattice parameters and positions (GGA-PBE), the powder diffractogram of Mg3InAu3 was computed for a wavelength of 1.5418 Å.

Largest 6 diffraction maxima, by angle, 10 to 80 degrees two-theta:
index	2theta	d (Å)	Rel. int.
2 1 1	26.53	3.360	100
3 1 0	34.46	2.602	91
3 2 0	39.48	2.282	45
3 2 1	41.04	2.199	44
3 2 2	45.44	1.996	29
5 4 0	73.72	1.285	25

Structural model:
Cell: 8.229 8.229 8.229 Å, 90.00 90.00 90.00°
Space group P2_13 (No. 198)
Unique sites:
Mg: 0.117 0.383 0.617
Mg: 0.160 0.840 0.340
Mg: 0.202 0.202 0.202
In: 0.057 0.557 0.943
Au: 0.011 0.202 0.899

---

Record 2
Starting from DFT lattice parameters and positions (GGA-PBE), the powder diffractogram of Al5Ga5Ag2 was computed for a wavelength of 1.5418 Å.

Largest 6 diffraction maxima, by angle, 10 to 80 degrees two-theta:
index	2theta	d (Å)	Rel. int.
1 1 1	24.43	3.643	40
2 0 2	33.07	2.709	49
1 1 2	33.68	2.661	48
0 2 0	36.51	2.461	83
5 1 -1	40.75	2.214	100
3 1 -3	41.93	2.155	90

Structural model:
Cell: 12.399 4.923 7.531 Å, 90.00 108.09 90.00°
Space group C2/m (No. 12)
Unique sites:
Al: 0.000 0.000 0.000
Al: 0.085 0.000 0.403
Al: 0.234 0.000 0.203
Ga: 0.000 0.500 0.500
Ga: 0.110 0.500 0.985
Ga: 0.188 0.500 0.372
Ag: 0.138 0.000 0.788

---

Record 3
Starting from DFT lattice parameters and positions (GGA-PBE), the powder diffractogram of OsSe3Br was computed for a wavelength of 1.5418 Å.

Largest 6 diffraction maxima, by angle, 10 to 80 degrees two-theta:
index	2theta	d (Å)	Rel. int.
0 0 1	10.61	8.336	24
0 1 0	10.88	8.129	100
0 1 -1	12.88	6.871	24
-1 1 1	26.71	3.338	37
1 1 1	30.11	2.968	21
0 2 -3	33.53	2.673	28

Structural model:
Cell: 3.988 8.496 8.715 Å, 106.01 94.30 94.03°
Space group P-1 (No. 2)
Unique sites:
Os: 0.108 0.481 0.341
Se: 0.134 0.769 0.834
Se: 0.194 0.579 0.111
Se: 0.317 0.350 0.549
Br: 0.248 0.979 0.700